Structure and computed powder diffractogram of MgCoTe2 (a structure optimized by DFT (PBE); Cu Kα (λ = 1.5418 Å)).

Largest 10 diffraction maxima, sorted by position, 2θ from 5° to 70°:
h k l, 2θ/deg, I/Imax
0 0 1, 15.03, 24
0 1 1, 25.75, 95
1 0 1, 26.47, 99
1 1 0, 30.20, 56
0 0 2, 30.33, 27
0 2 0, 42.30, 28
1 1 2, 43.33, 100
2 0 0, 44.14, 25
1 2 1, 50.59, 33
2 1 1, 51.81, 28

Cell and atoms:
abc: 4.1033 4.2734 5.8932
angles: 90.00 90.14 90.00
Space group Pm (No. 6)
One atom of each set of equivalent atoms:
Mg (0.0000, 0.0000, 0.0000)
Co (0.9993, 0.5000, 0.7022)
Te (0.5000, 0.5000, 0.9565)
Te (0.9984, 0.0000, 0.4873)